For TiTlAgBr6, a cell relaxed with PBE gives the calculated powder diffraction line list in this record (copper Kα).
Neutral-atom scattering factors, no anomalous dispersion.

Atomic structure:
```
9
Lattice="3.584 -6.249 0.000 3.584 6.249 0.000 -0.054 0.000 6.911" Properties=species:S:1:pos:R:3 pbc="T T T"
Ti 0.000 0.000 0.000
Tl 3.557 -2.084 3.456
Ag 3.584 2.097 0.000
Br 2.666 4.405 1.474
Br 1.110 1.724 5.442
Br 2.041 0.156 1.494
Br 4.447 4.405 5.437
Br 5.072 0.156 5.417
Br 6.003 1.724 1.470
```

Most intense lines, 5 to 70 degrees two-theta, most intense first:
| Position (°2θ) | d (Å) | I_rel |
| --- | --- | --- |
| 19.1 | 4.637 | 100 |
| 28.0 | 3.192 | 92 |
| 35.9 | 2.498 | 69 |
| 19.3 | 4.607 | 50 |
| 40.4 | 2.234 | 37 |
| 43.7 | 2.073 | 34 |

=====

For Tl3Ag2Br7, a cell relaxed with PBE gives the calculated powder diffraction line list in this record (copper Kα).
Neutral-atom scattering factors, no anomalous dispersion.

Atomic structure:
```
12
Lattice="-2.715 2.715 13.348 2.715 -2.715 13.348 2.715 2.715 -13.348" Properties=species:S:1:pos:R:3 pbc="T T T"
Tl 0.000 0.000 0.000
Tl 0.000 0.000 4.781
Tl 0.000 0.000 21.915
Ag 0.000 0.000 10.664
Ag 0.000 0.000 16.033
Br 2.715 0.000 2.548
Br 0.000 0.000 7.990
Br 2.715 0.000 10.801
Br 0.000 0.000 13.348
Br 0.000 2.715 2.548
Br 0.000 0.000 18.706
Br 0.000 2.715 10.801
```

Most intense lines, 5 to 70 degrees two-theta, most intense first:
| Position (°2θ) | d (Å) | I_rel |
| --- | --- | --- |
| 33.0 | 2.715 | 100 |
| 30.8 | 2.907 | 78 |
| 23.2 | 3.840 | 68 |
| 23.4 | 3.807 | 59 |
| 47.8 | 1.904 | 44 |
| 47.3 | 1.920 | 37 |

=====

For TlAg7Br12, a cell relaxed with PBE gives the calculated powder diffraction line list in this record (copper Kα).
Neutral-atom scattering factors, no anomalous dispersion.

Atomic structure:
```
20
Lattice="-5.214 5.214 5.214 5.214 -5.214 5.214 5.214 5.214 -5.214" Properties=species:S:1:pos:R:3 pbc="T T T"
Tl 0.000 0.000 0.000
Ag 2.607 2.607 -2.607
Ag 2.607 -2.607 2.607
Ag 5.214 0.000 0.000
Ag -2.607 2.607 2.607
Ag 0.000 5.214 0.000
Ag 0.000 0.000 5.214
Ag 2.607 2.607 2.607
Br 5.214 -1.951 3.376
Br 3.263 1.838 0.000
Br 7.165 1.838 0.000
Br 3.376 5.214 -1.951
Br 1.838 0.000 3.263
Br 0.000 3.263 1.838
Br 5.214 1.951 3.376
Br 3.376 5.214 1.951
Br 1.838 0.000 7.165
Br -1.951 3.376 5.214
Br 1.951 3.376 5.214
Br 0.000 7.165 1.838
```

Most intense lines, 5 to 70 degrees two-theta, most intense first:
| Position (°2θ) | d (Å) | I_rel |
| --- | --- | --- |
| 42.5 | 2.128 | 100 |
| 24.1 | 3.687 | 77 |
| 27.0 | 3.297 | 59 |
| 34.4 | 2.607 | 48 |
| 32.1 | 2.787 | 43 |
| 55.8 | 1.649 | 23 |